Record 1
The following is a theoretical powder diffraction line list of Li3LaTl3. It was derived from a GGA-PBE-relaxed structure, using Cu Kα (λ = 1.5418 Å).
Peak positions follow from Bragg's law for the DFT cell and can differ from measured ones.

Atomic structure:
a = 7.1945 Å, b = 7.1945 Å, c = 7.1945 Å
α = 90.00°, β = 90.00°, γ = 90.00°
Fractional positions:
Li (0.0000, 0.2500, 0.5000)
Li (0.0000, 0.7500, 0.5000)
Li (0.2500, 0.5000, 0.0000)
Li (0.5000, 0.0000, 0.2500)
Li (0.5000, 0.0000, 0.7500)
Li (0.7500, 0.5000, 0.0000)
La (0.0000, 0.0000, 0.0000)
La (0.5000, 0.5000, 0.5000)
Tl (0.0000, 0.5000, 0.2500)
Tl (0.0000, 0.5000, 0.7500)
Tl (0.2500, 0.0000, 0.5000)
Tl (0.5000, 0.2500, 0.0000)
Tl (0.5000, 0.7500, 0.0000)
Tl (0.7500, 0.0000, 0.5000)

The 8 most intense peaks (2θ = 15–90°), in order of falling intensity:
- d 3.217, 2θ 27.73, rel. 100
- d 2.937, 2θ 30.43, rel. 61
- d 1.923, 2θ 47.27, rel. 37
- d 1.995, 2θ 45.45, rel. 27
- d 3.597, 2θ 24.75, rel. 26
- d 1.570, 2θ 58.82, rel. 25
- d 1.336, 2θ 70.49, rel. 22
- d 1.799, 2θ 50.76, rel. 18

***

Record 2
The following is a theoretical powder diffraction line list of Ti7Nb2Cd. It was derived from a GGA-PBE-relaxed structure, using Cu Kα (λ = 1.5418 Å).
Peak positions follow from Bragg's law for the DFT cell and can differ from measured ones.

Atomic structure:
a = 7.4578 Å, b = 7.4578 Å, c = 4.7656 Å
α = 90.00°, β = 90.00°, γ = 124.36°
Fractional positions:
Ti (0.0000, 0.0000, 0.0000)
Ti (0.2197, 0.4310, 0.0000)
Ti (0.2502, 0.7498, 0.5000)
Ti (0.4310, 0.2197, 0.0000)
Ti (0.5690, 0.7803, 0.0000)
Ti (0.7498, 0.2502, 0.5000)
Ti (0.7803, 0.5690, 0.0000)
Nb (0.2123, 0.7877, 0.0000)
Nb (0.7877, 0.2123, 0.0000)
Cd (0.5000, 0.5000, 0.5000)

The 8 most intense peaks (2θ = 15–90°), in order of falling intensity:
- d 2.191, 2θ 41.20, rel. 100
- d 2.394, 2θ 37.57, rel. 79
- d 2.383, 2θ 37.75, rel. 73
- d 3.481, 2θ 25.59, rel. 58
- d 2.061, 2θ 43.94, rel. 57
- d 4.766, 2θ 18.62, rel. 56
- d 1.689, 2θ 54.32, rel. 50
- d 3.768, 2θ 23.61, rel. 48

***

Record 3
The following is a theoretical powder diffraction line list of K2Na4ZnSn2. It was derived from a GGA-PBE-relaxed structure, using Cu Kα (λ = 1.5418 Å).
Peak positions follow from Bragg's law for the DFT cell and can differ from measured ones.

Atomic structure:
a = 11.6065 Å, b = 10.0117 Å, c = 11.4363 Å
α = 90.00°, β = 119.45°, γ = 90.00°
Fractional positions:
K (0.1486, 0.0333, 0.4623)
K (0.1486, 0.4667, 0.9623)
K (0.1774, 0.1051, 0.8813)
K (0.1774, 0.3949, 0.3813)
K (0.8226, 0.6051, 0.6187)
K (0.8226, 0.8949, 0.1187)
K (0.8514, 0.5333, 0.0377)
K (0.8514, 0.9667, 0.5377)
Na (0.0074, 0.1800, 0.0809)
Na (0.0074, 0.3200, 0.5809)
Na (0.3320, 0.7232, 0.5700)
Na (0.3320, 0.7768, 0.0700)
Na (0.4289, 0.5267, 0.3048)
Na (0.4289, 0.9733, 0.8048)
Na (0.4946, 0.1578, 0.5697)
Na (0.4946, 0.3422, 0.0697)
Na (0.5054, 0.6578, 0.9303)
Na (0.5054, 0.8422, 0.4303)
Na (0.5711, 0.0267, 0.1952)
Na (0.5711, 0.4733, 0.6952)
Na (0.6680, 0.2232, 0.9300)
Na (0.6680, 0.2768, 0.4300)
Na (0.9926, 0.6800, 0.4191)
Na (0.9926, 0.8200, 0.9191)
Zn (0.2407, 0.5319, 0.7259)
Zn (0.2407, 0.9681, 0.2259)
Zn (0.7593, 0.0319, 0.7741)
Zn (0.7593, 0.4681, 0.2741)
Sn (0.1618, 0.7252, 0.2374)
Sn (0.1618, 0.7748, 0.7374)
Sn (0.3533, 0.1963, 0.2400)
Sn (0.3533, 0.3037, 0.7400)
Sn (0.6467, 0.6963, 0.2600)
Sn (0.6467, 0.8037, 0.7600)
Sn (0.8382, 0.2252, 0.2626)
Sn (0.8382, 0.2748, 0.7626)

The 8 most intense peaks (2θ = 15–90°), in order of falling intensity:
- d 2.788, 2θ 32.10, rel. 100
- d 4.978, 2θ 17.82, rel. 99
- d 4.511, 2θ 19.68, rel. 59
- d 4.455, 2θ 19.93, rel. 59
- d 2.749, 2θ 32.57, rel. 50
- d 2.510, 2θ 35.77, rel. 49
- d 5.014, 2θ 17.69, rel. 40
- d 2.893, 2θ 30.91, rel. 38